Simulated PXRD pattern of Rb2LiH6Ir for Cu Kα (λ = 1.5418 Å), from DFT lattice parameters and positions (GGA-PBE).
No peak broadening, texture or thermal motion is included.

The 12 most intense peaks (2θ from 5° to 70°), sorted by position:
d/Å, I_rel
5.168, 27
4.945, 27
3.573, 100
2.984, 78
2.555, 29
2.290, 31
2.230, 40
1.817, 29
1.786, 21
1.723, 15
1.533, 25
1.377, 12

Crystal structure
Unit cell a=5.967 b=5.967 c=4.945 alpha=90.00 beta=90.00 gamma=120.00
Element x y z (fractional)
Rb 0.333 0.667 0.238
Rb 0.667 0.333 0.762
Li 0.000 0.000 0.500
H 0.134 0.268 0.801
H 0.134 0.866 0.801
H 0.268 0.134 0.199
H 0.732 0.866 0.801
H 0.866 0.134 0.199
H 0.866 0.732 0.199
Ir 0.000 0.000 0.000